# 1
For ScCu2Re, a cell relaxed with GGA-PBE gives the calculated powder diffraction line list in this record (Cu Kα X-rays).

Main lines, most intense first (10 to 90 degrees two-theta):
d (Å), 2θ (°), I_rel, hkl
2.273, 39.65, 100, 1 1 0
2.229, 40.48, 92, 0 1 2
5.515, 16.07, 84, 0 0 1
1.984, 45.72, 32, 1 0 -2
1.974, 45.97, 31, 1 0 2
1.892, 48.08, 28, 0 2 0
3.120, 28.61, 25, 0 1 1
1.369, 68.52, 18, 1 2 -2
1.366, 68.71, 18, 1 2 2
2.098, 43.11, 15, 1 1 1

Structural model:
abc: 2.843 3.785 5.515
angles: 90.00 90.30 90.00
Space group P2/m (No. 10)
Asymmetric unit:
Sc: 0.000 0.000 0.000 x1
Cu: 0.499 0.500 0.728 x2
Re: 0.000 0.000 0.500 x1

***

# 2
For Hf6GaOs, a cell relaxed with GGA-PBE gives the calculated powder diffraction line list in this record (Cu Kα X-rays).

Main lines, most intense first (10 to 90 degrees two-theta):
d (Å), 2θ (°), I_rel, hkl
2.339, 38.50, 100, 1 3 1
2.637, 34.00, 94, 2 0 -2
2.934, 30.47, 55, 1 3 -1
2.648, 33.85, 47, 0 4 0
1.757, 52.05, 43, 1 3 -3
1.742, 52.53, 41, 3 3 -1
2.700, 33.19, 36, 0 0 2
2.673, 33.53, 36, 2 0 0
1.868, 48.74, 33, 2 4 -2
2.994, 29.84, 26, 1 1 1

Structural model:
abc: 6.097 10.593 6.159
angles: 90.00 118.76 90.00
Space group C2/m (No. 12)
Asymmetric unit:
Hf: 0.249 0.205 0.247 x8
Hf: 0.250 0.000 0.754 x4
Ga: 0.000 0.500 0.500 x2
Os: 0.000 0.000 0.000 x2

***

# 3
For Cd2Ga2HgI6, a cell relaxed with GGA-PBE gives the calculated powder diffraction line list in this record (Cu Kα X-rays).

Main lines, most intense first (10 to 90 degrees two-theta):
d (Å), 2θ (°), I_rel, hkl
3.700, 24.05, 100, -1 1 2
2.873, 31.13, 58, 2 1 2
3.560, 25.01, 28, 0 2 0
2.444, 36.77, 23, 1 -1 2
4.337, 20.48, 19, 0 1 2
2.432, 36.97, 19, 3 2 0
2.484, 36.16, 18, 1 0 -3
3.724, 23.89, 18, 2 0 0
2.789, 32.09, 18, 1 3 2
3.315, 26.89, 17, 1 -1 1

Structural model:
abc: 7.860 8.581 8.681
angles: 61.12 88.71 73.16
Space group P-1 (No. 2)
Asymmetric unit:
Cd: 0.137 0.272 0.497 x2
Ga: 0.252 0.304 0.943 x2
Hg: 0.500 0.500 0.000 x1
I: 0.012 0.773 0.761 x2
I: 0.118 0.670 0.275 x2
I: 0.462 0.087 0.718 x2

***

# 4
For Zn2HOsO6, a cell relaxed with GGA-PBE gives the calculated powder diffraction line list in this record (Cu Kα X-rays).

Main lines, most intense first (10 to 90 degrees two-theta):
d (Å), 2θ (°), I_rel, hkl
2.695, 33.24, 100, 1 1 2
4.109, 21.63, 91, 1 0 1
1.685, 54.44, 27, 2 0 4
1.970, 46.09, 25, 2 1 1
2.712, 33.03, 24, 1 0 3
1.367, 68.63, 23, 3 1 2
1.729, 52.96, 20, 2 1 3
2.553, 35.16, 18, 0 0 4
2.244, 40.18, 17, 2 0 0
1.500, 61.86, 17, 1 1 6

Structural model:
abc: 4.488 4.488 10.211
angles: 90.00 90.00 90.00
Space group P4_2/mnm (No. 136)
Asymmetric unit:
Zn: 0.000 0.500 0.250 x4
H: 0.000 0.000 0.000 x2
Os: 0.000 0.000 0.500 x2
O: 0.207 0.207 0.000 x4
O: 0.209 0.209 0.360 x8

***

# 5
For TiNi7Sb2P2, a cell relaxed with GGA-PBE gives the calculated powder diffraction line list in this record (Cu Kα X-rays).

Main lines, most intense first (10 to 90 degrees two-theta):
d (Å), 2θ (°), I_rel, hkl
1.873, 48.60, 100, 1 1 10
2.512, 35.75, 96, 1 1 2
1.806, 50.53, 82, 2 0 0
6.888, 12.85, 67, 0 0 4
2.232, 40.40, 59, 1 1 6
3.444, 25.87, 39, 0 0 8
2.395, 37.55, 34, 1 1 4
2.662, 33.67, 32, 1 0 7
2.555, 35.13, 30, 1 1 0
1.277, 74.25, 25, 2 2 0

Structural model:
abc: 3.613 3.613 27.554
angles: 90.00 90.00 90.00
Space group I4/mmm (No. 139)
Asymmetric unit:
Ti: 0.000 0.000 0.000 x2
Ni: 0.000 0.000 0.307 x4
Ni: 0.000 0.000 0.500 x2
Ni: 0.000 0.500 0.066 x8
Sb: 0.000 0.000 0.211 x4
P: 0.000 0.000 0.386 x4